This entry pairs a crystal structure of Li12W7O28 with its computed powder diffractogram. Radiation: Cu Kα. Structure: a cell relaxed with GGA+U.
Neutral-atom scattering factors, no anomalous dispersion.

Peak list (10 most intense, 10 to 90 degrees two-theta, sorted by position)
Position (°2θ)  I/Imax  index
10.4  510  1 0 0
18.1  1000  1 1 1
23.4  196  2 1 0
25.6  574  2 1 1
29.7  232  2 2 0
31.5  593  3 0 0
33.3  296  3 1 0
43.9  254  4 1 0
46.5  337  3 3 1
61.7  210  4 4 0

Structure:
Cell: 8.5081 8.5081 8.5081 Å, 90.00 90.00 90.00°
Space group P-43m (No. 215)
Unique sites:
Li 0.0984 0.3572 0.6428
W 0.0000 0.0000 0.5000
W 0.3580 0.3580 0.3580
O 0.1250 0.1250 0.6195
O 0.1461 0.3844 0.3844
O 0.3912 0.3912 0.6088



This entry pairs a crystal structure of Al2Fe2O7 with its computed powder diffractogram. Radiation: Cu Kα. Structure: a cell relaxed with GGA+U.
Neutral-atom scattering factors, no anomalous dispersion.

Peak list (10 most intense, 10 to 90 degrees two-theta, sorted by position)
Position (°2θ)  I/Imax  index
16.5  211  1 1 1
31.9  263  3 1 1
33.3  1000  2 2 2
38.7  74  4 0 0
51.0  62  3 3 3
55.8  697  4 4 0
66.6  356  6 2 2
70.0  36  4 4 4
79.0  56  7 3 1
82.9  86  8 0 0

Structure:
Cell: 9.3129 9.3129 9.3129 Å, 90.00 90.00 90.00°
Space group Fd-3m (No. 227, origin choice 2)
Unique sites:
Al 0.0000 0.0000 0.0000
Fe 0.0000 0.0000 0.5000
O 0.0951 0.3750 0.8750
O 0.1250 0.1250 0.1250



This entry pairs a crystal structure of Li2TeMoO6 with its computed powder diffractogram. Radiation: Cu Kα. Structure: a cell relaxed with GGA+U.
Neutral-atom scattering factors, no anomalous dispersion.

Peak list (10 most intense, 10 to 90 degrees two-theta, sorted by position)
Position (°2θ)  I/Imax  index
13.4  245  0 2 0
18.3  1000  0 2 1
20.9  368  1 1 0
22.4  547  1 1 -2
23.9  232  1 2 0
26.0  257  0 1 2
28.3  306  1 3 0
28.6  260  0 2 2
31.6  496  1 4 -1
32.9  297  2 0 -2

Structure:
Cell: 5.4613 13.2463 8.6180 Å, 90.00 124.68 90.00°
Space group P2_1/c (No. 14)
Unique sites:
Li 0.0340 0.0689 0.2343
Li 0.2585 0.1466 0.0163
Te 0.1856 0.7071 0.9337
Mo 0.4728 0.0912 0.7536
O 0.1626 0.0545 0.7640
O 0.1936 0.6921 0.7098
O 0.2162 0.2504 0.1907
O 0.3042 0.0203 0.1632
O 0.3112 0.0914 0.5074
O 0.3334 0.6559 0.4668



This entry pairs a crystal structure of V5P6WO24 with its computed powder diffractogram. Radiation: Cu Kα. Structure: a cell relaxed with GGA+U.
Neutral-atom scattering factors, no anomalous dispersion.

Peak list (10 most intense, 10 to 90 degrees two-theta, sorted by position)
Position (°2θ)  I/Imax  index
12.5  480  0 0 3
14.4  243  0 1 2
20.4  1000  1 1 0
20.5  350  1 0 4
24.0  994  1 1 3
32.7  704  2 -1 6
35.7  550  3 0 0
46.9  305  1 2 8
49.2  265  2 2 6
55.9  318  1 4 0

Structure:
Cell: 8.7085 8.7085 21.1413 Å, 90.00 90.00 120.00°
Space group R3 (No. 146, hexagonal axes)
Unique sites:
V 0.0000 0.0000 0.0000
V 0.0000 0.0000 0.1413
V 0.0000 0.0000 0.3550
V 0.0000 0.0000 0.4980
V 0.0000 0.0000 0.6396
P 0.9998 0.2969 0.7458
P 0.0038 0.7106 0.2470
W 0.0000 0.0000 0.8536
O 0.9995 0.8019 0.3075
O 0.0074 0.1978 0.8075
O 0.0143 0.8335 0.9181
O 0.0194 0.1858 0.4225
O 0.1391 0.6729 0.8535
O 0.1417 0.4686 0.3546
O 0.1650 0.6814 0.2407
O 0.1666 0.4834 0.7413



This entry pairs a crystal structure of Na8MgNi2O8 with its computed powder diffractogram. Radiation: Cu Kα. Structure: a cell relaxed with GGA+U.
Neutral-atom scattering factors, no anomalous dispersion.

Peak list (10 most intense, 10 to 90 degrees two-theta, sorted by position)
Position (°2θ)  I/Imax  index
17.4  431  1 0 1
18.9  456  1 1 0
19.3  1000  0 1 1
22.4  451  1 0 -1
32.3  599  1 0 3
32.5  397  0 2 0
32.8  336  2 0 1
37.2  765  2 2 1
37.8  641  -1 1 2
39.0  378  1 -1 3

Structure:
Cell: 5.8476 5.9060 8.6297 Å, 83.91 73.14 69.04°
Space group P1 (No. 1)
Unique sites:
Na 0.0000 0.0000 0.0000
Na 0.0024 0.5450 0.8859
Na 0.2171 0.5214 0.4804
Na 0.4435 0.5128 0.0724
Na 0.5292 0.0249 0.8734
Na 0.7797 0.1469 0.3394
Na 0.9050 0.5755 0.2508
Na 0.9984 0.0411 0.6269
Mg 0.5217 0.8424 0.5414
Ni 0.3468 0.9926 0.2151
Ni 0.6392 0.5245 0.7175
O 0.1390 0.8031 0.2644
O 0.1840 0.2522 0.0913
O 0.3078 0.7686 0.7715
O 0.3682 0.1029 0.4119
O 0.6440 0.4770 0.5004
O 0.6666 0.8100 0.0886
O 0.7702 0.2935 0.8488
O 0.8028 0.7676 0.6494



What did the second record say?
This entry pairs a crystal structure of Al2Fe2O7 with its computed powder diffractogram. Radiation: Cu Kα. Structure: a cell relaxed with GGA+U.
Neutral-atom scattering factors, no anomalous dispersion.

Peak list (10 most intense, 10 to 90 degrees two-theta, sorted by position)
Position (°2θ)  I/Imax  index
16.5  211  1 1 1
31.9  263  3 1 1
33.3  1000  2 2 2
38.7  74  4 0 0
51.0  62  3 3 3
55.8  697  4 4 0
66.6  356  6 2 2
70.0  36  4 4 4
79.0  56  7 3 1
82.9  86  8 0 0

Structure:
Cell: 9.3129 9.3129 9.3129 Å, 90.00 90.00 90.00°
Space group Fd-3m (No. 227, origin choice 2)
Unique sites:
Al 0.0000 0.0000 0.0000
Fe 0.0000 0.0000 0.5000
O 0.0951 0.3750 0.8750
O 0.1250 0.1250 0.1250